Simulated powder diffraction line list
Compound: KLiNd2Mo4O16
Radiation: Cu Kα (weighted mean of Kα1 and Kα2)
Structure: a structure optimized by DFT (PBE+U)

Structure:
```
KLiNd2Mo4O16
1.0
2.7041 -6.5275 0.0000
2.7041 6.5275 0.0000
-1.4773 0.0000 19.9401
K Li Nd Mo O
2 2 4 8 32
Direct
0.0335 0.9665 0.7500
0.9665 0.0335 0.2500
0.3112 0.6888 0.7500
0.6888 0.3112 0.2500
0.1461 0.8528 0.9668
0.1472 0.8539 0.5332
0.8528 0.1461 0.4668
0.8539 0.1472 0.0332
0.2343 0.7275 0.3518
0.2725 0.7657 0.1482
0.4152 0.5400 0.9077
0.4600 0.5848 0.5923
0.5400 0.4152 0.4077
0.5848 0.4600 0.0923
0.7275 0.2343 0.8518
0.7657 0.2725 0.6482
0.0243 0.7545 0.1704
0.0566 0.4716 0.2861
0.0634 0.5848 0.4317
0.1077 0.4217 0.1336
0.1776 0.5101 0.9576
0.2252 0.2651 0.5402
0.2274 0.3175 0.3989
0.2455 0.9757 0.3296
0.2651 0.2252 0.0402
0.3167 0.5054 0.6704
0.3175 0.2274 0.8989
0.4152 0.9366 0.0683
0.4217 0.1077 0.6336
0.4716 0.0566 0.7861
0.4899 0.8224 0.5424
0.4946 0.6833 0.8296
0.5054 0.3167 0.1704
0.5101 0.1776 0.4576
0.5284 0.9434 0.2139
0.5783 0.8923 0.3664
0.5848 0.0634 0.9317
0.6825 0.7726 0.1011
0.6833 0.4946 0.3296
0.7349 0.7748 0.9598
0.7545 0.0243 0.6704
0.7726 0.6825 0.6011
0.7748 0.7349 0.4598
0.8224 0.4899 0.0424
0.8923 0.5783 0.8664
0.9366 0.4152 0.5683
0.9434 0.5284 0.7139
0.9757 0.2455 0.8296
```

Principal peaks in the range 15 to 90 degrees two-theta, in order of rising 2θ:
2theta  intensity
24.37  44.7
26.15  67.3
26.32  41.8
26.49  39.0
26.91  60.3
27.42  44.0
27.68  100.0
29.03  41.2
29.63  63.4
30.17  60.2
33.22  44.2
56.12  34.8